Entry 1:
For UTi2Ag2S6, a DFT-relaxed cell (PBE, Alexandria) gives the theoretical XRD peak list in this record (Cu Kα).
Kinematic intensities with the Lorentz-polarization factor, no thermal factor.

Principal peaks in the range 2θ = 15–90°, by angle:
2θ = 16.02°, intensity 100.0; 2θ = 30.49°, intensity 27.9; 2θ = 31.56°, intensity 92.0; 2θ = 37.69°, intensity 34.7; 2θ = 49.22°, intensity 27.0; 2θ = 50.66°, intensity 29.4

Atomic structure:
```
11
Lattice="3.214 -5.465 0.000 3.214 5.465 0.000 -0.378 0.000 6.707" Properties=species:S:1:pos:R:3 pbc="T T T"
U 0.000 0.000 0.000
Ti 3.214 1.678 0.000
Ti 3.214 -1.678 0.000
Ag 3.025 4.019 3.354
Ag 3.025 -4.019 3.354
S 1.163 1.979 1.382
S 1.868 0.000 5.233
S 1.163 -1.979 1.382
S 4.887 1.979 5.325
S 4.182 0.000 1.474
S 4.887 -1.979 5.325
```

=====

Entry 2:
For PmPrNd2Sc, a DFT-relaxed cell (PBE, Alexandria) gives the theoretical XRD peak list in this record (Cu Kα).
Kinematic intensities with the Lorentz-polarization factor, no thermal factor.

Principal peaks in the range 2θ = 15–90°, by angle:
2θ = 28.15°, intensity 40.8; 2θ = 29.03°, intensity 21.2; 2θ = 29.68°, intensity 100.0; 2θ = 30.29°, intensity 36.1; 2θ = 39.19°, intensity 29.7; 2θ = 50.78°, intensity 22.4

Atomic structure:
```
10
Lattice="6.340 0.000 0.000 0.000 7.970 0.000 0.000 0.000 6.668" Properties=species:S:1:pos:R:3 pbc="T T T"
Pm 1.585 0.000 0.590
Pm 4.755 0.000 6.078
Pr 1.585 3.985 1.255
Pr 4.755 3.985 5.413
Nd 1.585 2.349 4.735
Nd 1.585 5.621 4.735
Nd 4.755 2.349 1.933
Nd 4.755 5.621 1.933
Sc 0.000 0.000 3.334
Sc 3.170 0.000 3.334
```